Simulated X-ray diffraction stick pattern of SmTl2GaS4 for Cu Kα (λ = 1.5418 Å), from a crystal structure in Alexandria, relaxed with PBE.
Lines closer than 0.1° are merged.

Structure:
```
data_SmTl2GaS4
_cell_length_a 8.263
_cell_length_b 8.263
_cell_length_c 8.263
_cell_angle_alpha 121.90
_cell_angle_beta 118.58
_cell_angle_gamma 89.61
_space_group_name_H-M_alt 'P 1'
_space_group_IT_number 1
loop_
_space_group_symop_operation_xyz
'x,y,z'
loop_
_atom_site_label
_atom_site_type_symbol
_atom_site_fract_x
_atom_site_fract_y
_atom_site_fract_z
Sm1 Sm 0.000 0.000 0.000
Sm2 Sm 0.500 0.000 0.500
Tl1 Tl 0.000 0.500 0.500
Tl2 Tl 0.500 0.000 0.000
Tl3 Tl 0.500 0.500 0.000
Tl4 Tl 0.500 0.500 0.500
Ga1 Ga 0.000 0.000 0.500
Ga2 Ga 0.000 0.500 0.000
S1 S 0.191 0.241 0.950
S2 S 0.209 0.759 0.450
S3 S 0.224 0.202 0.477
S4 S 0.224 0.747 0.023
S5 S 0.776 0.253 0.977
S6 S 0.776 0.798 0.523
S7 S 0.791 0.241 0.550
S8 S 0.809 0.759 0.050
```

Peak list (10 most intense, 2θ = 10–90°, in order of rising 2θ)
Position (°2θ), intensity
26.0, 69.2
26.9, 61.0
30.5, 51.1
30.7, 100.0
42.9, 18.4
43.9, 71.9
51.3, 26.3
52.9, 22.1
53.5, 18.5
72.6, 18.9